Starting from a structure optimized by DFT (PBE), the X-ray diffraction stick pattern of LaDy4Ho2 was calculated for Cu Kα, 1.54184 Å.
No peak broadening, texture or thermal motion is included.

Main lines, by angle (2θ from 10° to 80°):
(hkl), two_theta, I/Imax
2 -2 0, 29.97, 74
2 1 -2, 31.20, 95
0 1 -3, 31.33, 100
0 2 1, 31.45, 95
0 3 -2, 32.47, 89
2 0 1, 33.01, 88
2 3 -1, 47.92, 38
-4 1 1, 51.68, 26
2 4 -4, 57.89, 29
4 -2 2, 61.66, 28
4 0 -4, 61.80, 28
4 2 -3, 62.38, 28

Structural model:
Unit cell a=7.0744 b=8.6138 c=8.8376 alpha=114.56 beta=101.43 gamma=101.80
Space group P1 (No. 1)
Asymmetric unit:
La  0.0000  0.0000  0.0000 [1 per cell]
La  0.3018  0.6672  0.5453 [1 per cell]
Dy  0.0254  0.8265  0.2780 [1 per cell]
Dy  0.1065  0.5543  0.8727 [1 per cell]
Dy  0.3877  0.4027  0.1363 [1 per cell]
Dy  0.4133  0.2288  0.4144 [1 per cell]
Dy  0.5003  0.0008  0.0008 [1 per cell]
Dy  0.6078  0.5542  0.8703 [1 per cell]
Dy  0.7041  0.1170  0.7025 [1 per cell]
Dy  0.9083  0.2317  0.4152 [1 per cell]
Ho  0.2074  0.1234  0.7054 [1 per cell]
Ho  0.5254  0.8237  0.2719 [1 per cell]
Ho  0.8010  0.6668  0.5369 [1 per cell]
Ho  0.8815  0.4033  0.1337 [1 per cell]

Starting from a structure optimized by DFT (PBE), the X-ray diffraction stick pattern of Sb4O5F2 was calculated for Cu Kα, 1.54184 Å.
No peak broadening, texture or thermal motion is included.

Main lines, by angle (2θ from 10° to 80°):
(hkl), two_theta, I/Imax
1 0 2, 19.77, 69
2 0 2, 25.69, 91
0 2 2, 28.73, 62
2 2 0, 29.62, 100
1 2 2, 30.28, 31
3 1 1, 31.85, 21
4 0 0, 38.09, 21
1 1 4, 38.30, 19
1 2 4, 43.39, 19
0 4 0, 46.36, 19
4 2 2, 48.39, 20
2 4 2, 53.76, 22

Structural model:
Unit cell a=9.4509 b=7.8335 c=10.2070 alpha=90.00 beta=90.00 gamma=90.00
Space group Pnma (No. 62)
Asymmetric unit:
Sb  0.0190  0.2500  0.0506 [4 per cell]
Sb  0.0453  0.7500  0.4787 [4 per cell]
Sb  0.2296  0.0242  0.6819 [8 per cell]
O  0.0440  0.5682  0.6219 [8 per cell]
O  0.1575  0.0564  0.0268 [8 per cell]
O  0.1682  0.2500  0.5667 [4 per cell]
F  0.0056  0.7500  0.1454 [4 per cell]
F  0.2175  0.2500  0.2406 [4 per cell]

Starting from a structure optimized by DFT (PBE), the X-ray diffraction stick pattern of AcZn2PdAu was calculated for Cu Kα, 1.54184 Å.
No peak broadening, texture or thermal motion is included.

Main lines, by angle (2θ from 10° to 80°):
(hkl), two_theta, I/Imax
1 0 1, 21.83, 13
0 1 3, 31.46, 28
1 0 3, 31.57, 18
1 1 2, 33.01, 100
0 2 0, 40.94, 23
2 0 0, 41.29, 22
1 0 5, 45.59, 24
2 1 3, 52.82, 13
1 1 6, 57.77, 12
2 2 0, 59.55, 15
1 3 2, 69.56, 12
3 1 2, 70.05, 12

Structural model:
Unit cell a=4.3726 b=4.4087 c=11.1640 alpha=90.00 beta=90.00 gamma=90.00
Space group Imm2 (No. 44)
Asymmetric unit:
Ac  0.0000  0.0000  0.0000 [2 per cell]
Zn  0.0000  0.0000  0.3742 [2 per cell]
Zn  0.0000  0.5000  0.2406 [2 per cell]
Pd  0.0000  0.0000  0.5994 [2 per cell]
Au  0.0000  0.5000  0.7513 [2 per cell]

Starting from a structure optimized by DFT (PBE), the X-ray diffraction stick pattern of ZnB2Ir3 was calculated for Cu Kα, 1.54184 Å.
No peak broadening, texture or thermal motion is included.

Main lines, by angle (2θ from 10° to 80°):
(hkl), two_theta, I/Imax
0 0 3, 30.25, 29
2 0 0, 31.57, 50
0 1 1, 32.54, 16
0 1 2, 37.10, 100
0 0 4, 40.72, 27
2 0 3, 44.29, 44
2 1 1, 45.97, 38
2 1 2, 49.49, 55
2 0 4, 52.42, 14
0 1 5, 61.32, 15
2 1 5, 70.62, 30
4 1 2, 78.14, 23

Structural model:
Unit cell a=5.6678 b=2.8945 c=8.8634 alpha=90.00 beta=90.00 gamma=90.00
Space group Pmma (No. 51)
Asymmetric unit:
Zn  0.2500  0.0000  0.0063 [2 per cell]
B  0.2500  0.0000  0.7084 [2 per cell]
B  0.2500  0.5000  0.3906 [2 per cell]
Ir  0.0000  0.0000  0.5000 [2 per cell]
Ir  0.0015  0.5000  0.2141 [4 per cell]

Starting from a structure optimized by DFT (PBE), the X-ray diffraction stick pattern of Na2PS4 was calculated for Cu Kα, 1.54184 Å.
No peak broadening, texture or thermal motion is included.

Main lines, by angle (2θ from 10° to 80°):
(hkl), two_theta, I/Imax
1 1 0, 12.95, 100
0 0 2, 15.26, 47
2 0 1, 19.89, 31
1 1 2, 20.06, 17
2 0 3, 29.56, 24
3 1 1, 30.23, 18
2 2 2, 30.34, 9
4 0 0, 37.20, 10
3 1 3, 37.48, 21
4 0 2, 40.42, 8
2 2 4, 40.78, 21
3 3 4, 50.94, 10

Structural model:
Unit cell a=9.6688 b=9.6688 c=11.6134 alpha=90.00 beta=90.00 gamma=90.00
Space group P4_2/nbc (No. 133, origin choice 2)
Asymmetric unit:
Na  0.0061  0.0061  0.2500 [8 per cell]
P  0.2500  0.7500  0.2500 [4 per cell]
S  0.0790  0.7459  0.6460 [16 per cell]

Starting from a structure optimized by DFT (PBE), the X-ray diffraction stick pattern of Nd4BeBr6 was calculated for Cu Kα, 1.54184 Å.
No peak broadening, texture or thermal motion is included.

Main lines, by angle (2θ from 10° to 80°):
(hkl), two_theta, I/Imax
2 0 1, 22.03, 100
3 1 0, 29.06, 15
3 0 1, 30.23, 22
2 1 2, 32.16, 53
3 2 1, 35.54, 34
2 2 2, 36.02, 44
4 0 0, 37.01, 42
1 0 3, 38.39, 17
3 2 2, 41.77, 15
2 1 3, 42.83, 16
4 2 1, 43.49, 31
5 0 3, 61.21, 18

Structural model:
Unit cell a=9.7160 b=9.7160 c=7.2481 alpha=90.00 beta=90.00 gamma=90.00
Space group P4_2/nmc (No. 137, origin choice 2)
Asymmetric unit:
Nd  0.0152  0.7500  0.0825 [8 per cell]
Be  0.2500  0.7500  0.2500 [2 per cell]
Br  0.0418  0.5418  0.7500 [8 per cell]
Br  0.2500  0.2500  0.1657 [4 per cell]

Starting from a structure optimized by DFT (PBE), the X-ray diffraction stick pattern of Li3U3TeSe8 was calculated for Cu Kα, 1.54184 Å.
No peak broadening, texture or thermal motion is included.

Main lines, by angle (2θ from 10° to 80°):
(hkl), two_theta, I/Imax
0 0 3, 13.47, 66
0 2 1, 25.84, 51
0 2 4, 31.33, 100
2 0 5, 34.24, 28
0 2 7, 41.11, 12
2 2 0, 44.84, 37
2 0 8, 44.97, 37
2 2 3, 47.03, 18
4 0 4, 55.72, 20
0 4 8, 65.38, 12
2 4 4, 74.19, 17
2 2 12, 74.39, 17

Structural model:
Unit cell a=8.0862 b=8.0862 c=19.7236 alpha=90.00 beta=90.00 gamma=120.00
Space group R-3m (No. 166, hexagonal axes)
Asymmetric unit:
Li  0.0000  0.5000  0.0000 [9 per cell]
U  0.0000  0.5000  0.5000 [9 per cell]
Te  0.0000  0.0000  0.5000 [3 per cell]
Se  0.0000  0.0000  0.2537 [6 per cell]
Se  0.0031  0.5015  0.7471 [18 per cell]

Starting from a structure optimized by DFT (PBE), the X-ray diffraction stick pattern of PmEr3Co was calculated for Cu Kα, 1.54184 Å.
No peak broadening, texture or thermal motion is included.

Main lines, by angle (2θ from 10° to 80°):
(hkl), two_theta, I/Imax
0 2 1, 27.41, 28
2 0 0, 29.80, 52
1 2 -1, 31.19, 67
1 2 1, 31.36, 100
1 0 -2, 32.16, 50
1 0 2, 32.48, 32
2 2 -1, 40.80, 19
2 2 1, 41.06, 22
0 4 0, 47.72, 21
0 2 3, 49.90, 36
3 2 -1, 53.67, 24
2 2 -3, 58.91, 27

Structural model:
Unit cell a=5.9967 b=7.6237 c=6.2475 alpha=90.00 beta=90.68 gamma=90.00
Space group P2_1/m (No. 11)
Asymmetric unit:
Pm  0.2455  0.2500  0.1497 [2 per cell]
Er  0.2467  0.5028  0.6691 [4 per cell]
Er  0.2498  0.7500  0.1642 [2 per cell]
Co  0.0027  0.2500  0.5039 [2 per cell]

Starting from a structure optimized by DFT (PBE), the X-ray diffraction stick pattern of Pm5Sm12Y2 was calculated for Cu Kα, 1.54184 Å.
No peak broadening, texture or thermal motion is included.

Main lines, by angle (2θ from 10° to 80°):
(hkl), two_theta, I/Imax
4 2 -1, 30.11, 100
2 0 -3, 30.67, 36
6 0 1, 30.88, 37
8 0 -2, 33.64, 36
2 2 2, 36.11, 48
6 2 -4, 50.03, 17
10 2 0, 50.31, 18
0 4 0, 51.12, 12
4 0 4, 52.84, 13
12 2 -3, 57.98, 14
8 2 3, 62.14, 12
8 4 -2, 62.60, 12

Structural model:
Unit cell a=22.3670 b=7.1471 c=8.7730 alpha=90.00 beta=109.76 gamma=90.00
Space group C2/m (No. 12)
Asymmetric unit:
Pm  0.0000  0.0000  0.0000 [2 per cell]
Pm  0.1505  0.5000  0.5949 [4 per cell]
Pm  0.2494  0.0000  0.9914 [4 per cell]
Sm  0.0484  0.5000  0.1928 [4 per cell]
Sm  0.1062  0.2566  0.8842 [8 per cell]
Sm  0.1459  0.0000  0.5697 [4 per cell]
Sm  0.2001  0.2531  0.2935 [8 per cell]
Y  0.0000  0.2549  0.5000 [4 per cell]

Starting from a structure optimized by DFT (PBE), the X-ray diffraction stick pattern of LiCa2DyTl4 was calculated for Cu Kα, 1.54184 Å.
No peak broadening, texture or thermal motion is included.

Main lines, by angle (2θ from 10° to 80°):
(hkl), two_theta, I/Imax
1 0 4, 23.48, 65
0 1 8, 33.31, 100
1 1 0, 33.59, 98
0 2 4, 41.40, 15
2 0 8, 48.03, 36
1 1 12, 53.94, 14
2 1 4, 54.33, 14
1 0 16, 59.34, 19
1 2 8, 59.89, 38
3 0 0, 60.07, 19
0 2 16, 69.95, 12
2 1 16, 79.87, 16

Structural model:
Unit cell a=5.3354 b=5.3354 c=26.4663 alpha=90.00 beta=90.00 gamma=120.00
Space group R-3m (No. 166, hexagonal axes)
Asymmetric unit:
Li  0.0000  0.0000  0.0000 [3 per cell]
Ca  0.0000  0.0000  0.2527 [6 per cell]
Dy  0.0000  0.0000  0.5000 [3 per cell]
Tl  0.0000  0.0000  0.1230 [6 per cell]
Tl  0.0000  0.0000  0.3738 [6 per cell]

Starting from a structure optimized by DFT (PBE), the X-ray diffraction stick pattern of BeCl2 was calculated for Cu Kα, 1.54184 Å.
No peak broadening, texture or thermal motion is included.

Main lines, by angle (2θ from 10° to 80°):
(hkl), two_theta, I/Imax
0 0 1, 12.30, 98
0 1 -1, 19.77, 46
0 0 2, 24.74, 30
0 1 2, 29.28, 95
0 2 0, 31.12, 83
-1 1 1, 31.54, 100
1 0 1, 32.53, 38
1 0 -2, 32.69, 38
1 -1 1, 36.19, 41
1 1 -2, 36.33, 37
0 1 -3, 40.76, 41
1 2 -2, 45.76, 22

Structural model:
Unit cell a=3.3483 b=5.7476 c=7.3807 alpha=90.04 beta=102.83 gamma=90.03
Space group P1 (No. 1)
Asymmetric unit:
Be  0.0000  0.0000  0.0000 [1 per cell]
Be  0.1337  0.5003  0.2786 [1 per cell]
Cl  0.0089  0.3561  0.0215 [1 per cell]
Cl  0.1251  0.8565  0.2572 [1 per cell]
Cl  0.4265  0.9060  0.8510 [1 per cell]
Cl  0.7070  0.4070  0.4279 [1 per cell]

Starting from a structure optimized by DFT (PBE), the X-ray diffraction stick pattern of Er2Si3 was calculated for Cu Kα, 1.54184 Å.
No peak broadening, texture or thermal motion is included.

Main lines, by angle (2θ from 10° to 80°):
(hkl), two_theta, I/Imax
0 0 2, 21.12, 33
1 1 0, 27.50, 61
0 2 0, 30.32, 28
1 1 2, 34.93, 100
0 1 3, 35.44, 13
0 2 2, 37.25, 36
2 0 0, 46.76, 15
2 0 2, 51.82, 18
1 3 0, 52.16, 15
1 3 2, 56.89, 24
2 2 2, 61.25, 17
1 2 5, 68.61, 13

Structural model:
Unit cell a=3.8851 b=5.8952 c=8.4139 alpha=90.00 beta=90.00 gamma=90.00
Space group Immm (No. 71)
Asymmetric unit:
Er  0.0000  0.0000  0.2210 [4 per cell]
Si  0.0000  0.2940  0.5000 [4 per cell]
Si  0.0000  0.5000  0.0000 [2 per cell]